Starting from a GGA-PBE-relaxed structure, the X-ray powder pattern of Sm4Te5Se was simulated for copper Kα.

Structural model:
Lattice parameters (Å, degrees): 9.8649 9.8649 8.8262 103.69 103.69 25.68
Fractional positions:
Sm 0.0026 0.0026 0.2503
Sm 0.3300 0.3300 0.9018
Sm 0.6700 0.6700 0.0982
Sm 0.9974 0.9974 0.7497
Te 0.1641 0.1641 0.3374
Te 0.1639 0.1639 0.8365
Te 0.5000 0.5000 0.5000
Te 0.8361 0.8361 0.1635
Te 0.8359 0.8359 0.6626
Se 0.5000 0.5000 0.0000

The 10 most intense peaks (2θ = 10–80°), most intense first:
- 28.70 deg, intensity 100.0
- 40.86 deg, intensity 38.6
- 41.22 deg, intensity 37.3
- 50.96 deg, intensity 13.5
- 59.43 deg, intensity 12.8
- 67.02 deg, intensity 11.4
- 67.61 deg, intensity 11.0
- 15.65 deg, intensity 9.2
- 74.83 deg, intensity 8.4
- 10.33 deg, intensity 8.2



Starting from a GGA-PBE-relaxed structure, the X-ray powder pattern of Pu4CO3 was simulated for copper Kα.

Structural model:
Lattice parameters (Å, degrees): 12.4949 12.4949 12.4949 16.49 16.49 16.49
Fractional positions:
Pu 0.1277 0.1277 0.1277
Pu 0.2951 0.2951 0.2951
Pu 0.7049 0.7049 0.7049
Pu 0.8723 0.8723 0.8723
C 0.5000 0.5000 0.5000
O 0.0000 0.0000 0.0000
O 0.2358 0.2358 0.2358
O 0.7642 0.7642 0.7642

The 10 most intense peaks (2θ = 10–80°), most intense first:
- 31.26 deg, intensity 100.0
- 33.50 deg, intensity 92.6
- 28.98 deg, intensity 54.6
- 59.71 deg, intensity 47.6
- 50.98 deg, intensity 46.6
- 29.18 deg, intensity 37.3
- 51.31 deg, intensity 24.5
- 55.77 deg, intensity 23.8
- 62.38 deg, intensity 16.4
- 61.03 deg, intensity 15.8



Starting from a GGA-PBE-relaxed structure, the X-ray powder pattern of Pm2Pa4Rh9 was simulated for copper Kα.

Structural model:
Lattice parameters (Å, degrees): 4.5894 4.5894 17.1564 90.00 90.00 120.00
Fractional positions:
Pm 0.3333 0.6667 0.2512
Pm 0.6667 0.3333 0.7488
Pa 0.3333 0.6667 0.5999
Pa 0.3333 0.6667 0.9087
Pa 0.6667 0.3333 0.0913
Pa 0.6667 0.3333 0.4001
Rh 0.0000 0.0000 0.0000
Rh 0.0000 0.0000 0.1650
Rh 0.0000 0.0000 0.3410
Rh 0.0000 0.0000 0.6590
Rh 0.0000 0.0000 0.8350
Rh 0.3333 0.6667 0.0797
Rh 0.3333 0.6667 0.4319
Rh 0.6667 0.3333 0.5681
Rh 0.6667 0.3333 0.9203

The 10 most intense peaks (2θ = 10–80°), most intense first:
- 39.26 deg, intensity 100.0
- 38.80 deg, intensity 72.6
- 27.33 deg, intensity 48.2
- 70.86 deg, intensity 24.5
- 56.38 deg, intensity 24.4
- 51.03 deg, intensity 19.2
- 71.17 deg, intensity 17.4
- 64.11 deg, intensity 16.2
- 20.71 deg, intensity 14.7
- 78.89 deg, intensity 14.3



Starting from a GGA-PBE-relaxed structure, the X-ray powder pattern of CaNdGa2Au5 was simulated for copper Kα.

Structural model:
Lattice parameters (Å, degrees): 4.5294 4.5294 9.0682 90.00 90.00 90.00
Fractional positions:
Ca 0.0000 0.0000 0.0000
Nd 0.0000 0.0000 0.5000
Ga 0.5000 0.5000 0.3644
Ga 0.5000 0.5000 0.6356
Au 0.0000 0.5000 0.2265
Au 0.0000 0.5000 0.7735
Au 0.5000 0.0000 0.2265
Au 0.5000 0.0000 0.7735
Au 0.5000 0.5000 0.0000

The 10 most intense peaks (2θ = 10–80°), most intense first:
- 34.28 deg, intensity 100.0
- 39.80 deg, intensity 57.1
- 68.71 deg, intensity 36.6
- 57.54 deg, intensity 30.6
- 41.06 deg, intensity 15.7
- 19.58 deg, intensity 15.4
- 35.71 deg, intensity 12.7
- 54.53 deg, intensity 10.5
- 21.94 deg, intensity 9.7
- 72.23 deg, intensity 7.7



Starting from a GGA-PBE-relaxed structure, the X-ray powder pattern of LaTbTm2 was simulated for copper Kα.

Structural model:
Lattice parameters (Å, degrees): 6.6939 6.6939 11.8154 90.00 90.00 90.00
Fractional positions:
La 0.0293 0.0293 0.0000
La 0.4707 0.5293 0.2500
La 0.5293 0.4707 0.7500
La 0.9707 0.9707 0.5000
Tb 0.1825 0.8175 0.7500
Tb 0.3175 0.3175 0.5000
Tb 0.6825 0.6825 0.0000
Tb 0.8175 0.1825 0.2500
Tm 0.0345 0.3169 0.7556
Tm 0.1831 0.5345 0.0056
Tm 0.3169 0.0345 0.2444
Tm 0.4655 0.8169 0.4944
Tm 0.5345 0.1831 0.9944
Tm 0.6831 0.9655 0.7444
Tm 0.8169 0.4655 0.5056
Tm 0.9655 0.6831 0.2556

The 10 most intense peaks (2θ = 10–80°), most intense first:
- 33.56 deg, intensity 100.0
- 30.26 deg, intensity 55.9
- 30.81 deg, intensity 49.5
- 27.70 deg, intensity 46.6
- 35.19 deg, intensity 25.8
- 37.75 deg, intensity 24.6
- 55.89 deg, intensity 23.0
- 49.12 deg, intensity 15.7
- 57.28 deg, intensity 15.1
- 67.28 deg, intensity 14.3



Starting from a GGA-PBE-relaxed structure, the X-ray powder pattern of AlCu2HgSe4 was simulated for copper Kα.

Structural model:
Lattice parameters (Å, degrees): 7.0147 7.0147 7.0147 131.38 131.38 71.21
Fractional positions:
Al 0.0000 0.0000 0.0000
Cu 0.2500 0.7500 0.5000
Cu 0.7500 0.2500 0.5000
Hg 0.5000 0.5000 0.0000
Se 0.0957 0.0957 0.4612
Se 0.3655 0.9043 0.0000
Se 0.6345 0.6345 0.5388
Se 0.9043 0.3655 0.0000

The 10 most intense peaks (2θ = 10–80°), most intense first:
- 26.85 deg, intensity 100.0
- 44.66 deg, intensity 47.9
- 52.62 deg, intensity 29.3
- 17.21 deg, intensity 24.7
- 44.36 deg, intensity 24.5
- 35.64 deg, intensity 17.5
- 28.10 deg, intensity 15.9
- 53.14 deg, intensity 14.2
- 71.65 deg, intensity 10.7
- 64.54 deg, intensity 7.4



Starting from a GGA-PBE-relaxed structure, the X-ray powder pattern of Zn2Pd5Pt2 was simulated for copper Kα.

Structural model:
Lattice parameters (Å, degrees): 8.6378 8.6378 7.2140 106.80 106.80 32.05
Fractional positions:
Zn 0.0506 0.3934 0.5545
Zn 0.1695 0.8305 0.5000
Zn 0.3934 0.0506 0.0545
Zn 0.8305 0.1695 0.0000
Pd 0.0558 0.7198 0.7185
Pd 0.1680 0.5018 0.3333
Pd 0.3833 0.7270 0.8905
Pd 0.4895 0.8448 0.6670
Pd 0.5018 0.1680 0.8333
Pd 0.6023 0.9491 0.4414
Pd 0.7198 0.0558 0.2185
Pd 0.7270 0.3833 0.3905
Pd 0.8448 0.4895 0.1670
Pd 0.9491 0.6023 0.9414
Pt 0.2747 0.6182 0.1116
Pt 0.2846 0.9369 0.2772
Pt 0.6182 0.2747 0.6116
Pt 0.9369 0.2846 0.7772

The 10 most intense peaks (2θ = 10–80°), most intense first:
- 42.43 deg, intensity 100.0
- 42.58 deg, intensity 99.2
- 42.80 deg, intensity 86.6
- 39.54 deg, intensity 83.9
- 37.40 deg, intensity 40.8
- 73.95 deg, intensity 35.5
- 67.90 deg, intensity 31.4
- 37.73 deg, intensity 27.6
- 22.42 deg, intensity 23.3
- 73.60 deg, intensity 19.3



Starting from a GGA-PBE-relaxed structure, the X-ray powder pattern of K2RhPbO6 was simulated for copper Kα.

Structural model:
Lattice parameters (Å, degrees): 5.8913 5.8913 5.8913 119.96 119.96 90.07
Fractional positions:
K 0.2500 0.7500 0.5000
K 0.7500 0.2500 0.5000
Rh 0.0000 0.0000 0.0000
Pb 0.5000 0.5000 0.0000
O 0.2352 0.2352 0.4704
O 0.2352 0.7648 0.0000
O 0.2367 0.2367 0.0000
O 0.7633 0.7633 0.0000
O 0.7648 0.2352 0.0000
O 0.7648 0.7648 0.5296

The 10 most intense peaks (2θ = 10–80°), most intense first:
- 30.34 deg, intensity 100.0
- 21.32 deg, intensity 63.2
- 53.90 deg, intensity 39.6
- 43.44 deg, intensity 33.5
- 48.88 deg, intensity 28.7
- 63.11 deg, intensity 20.2
- 71.62 deg, intensity 17.6
- 67.43 deg, intensity 13.8
- 18.44 deg, intensity 12.0
- 35.74 deg, intensity 10.5